Li3Fe4SbO8: computed powder diffractogram (λ = 1.5418 Å (Cu Kα)), based on a structure optimized by DFT (PBE+U).

Structural model:
Cell lengths 6.0409, 6.0409, 6.1653 Å; angles 119.30, 119.30, 62.26 degrees
Element x y z (fractional)
Li: 0.0000 0.0000 0.0000
Li: 0.0000 0.5000 0.5000
Li: 0.5000 0.0000 0.5000
Fe: 0.0000 0.0000 0.5000
Fe: 0.0000 0.5000 0.0000
Fe: 0.5000 0.0000 0.0000
Fe: 0.5000 0.5000 0.0000
Sb: 0.5000 0.5000 0.5000
O: 0.2470 0.2470 0.7675
O: 0.2628 0.2628 0.2645
O: 0.2667 0.7228 0.7321
O: 0.2772 0.7333 0.2679
O: 0.7228 0.2667 0.7321
O: 0.7333 0.2772 0.2679
O: 0.7372 0.7372 0.7355
O: 0.7530 0.7530 0.2325

Largest 10 diffraction maxima, sorted by position, 10° ≤ 2θ ≤ 90°:
d_spacing  2θ (°)  intensity
5.030  17.63  59
4.917  18.04  95
2.657  33.73  33
2.602  34.47  25
2.529  35.50  18
2.515  35.70  36
2.193  41.15  100
2.121  42.62  45
1.541  60.04  42
1.509  61.45  26